Entry 1:
Structure and simulated PXRD pattern of Y2MgCd16 (a PBE-relaxed structure; a wavelength of 1.5418 Å).

Peak list (10 most intense, 2θ from 15° to 90°, low angle first)
Position (°2θ)	I (rel.)
17.70	12
30.92	17
31.46	8
35.83	100
36.32	15
40.23	37
48.02	8
51.58	7
64.32	11
64.44	6

Structure:
```
Y2MgCd16
1.0
5.009 2.892 5.020
-5.009 2.892 5.020
0.000 -5.784 5.020
Y Mg Cd
2 1 16
Direct
0.000 0.000 0.000
0.347 0.347 0.347
0.576 0.576 0.576
0.050 0.050 0.449
0.050 0.449 0.050
0.148 0.690 0.690
0.329 0.329 0.787
0.329 0.787 0.329
0.366 0.669 0.975
0.366 0.975 0.669
0.449 0.050 0.050
0.669 0.366 0.975
0.669 0.975 0.366
0.690 0.148 0.690
0.690 0.690 0.148
0.769 0.769 0.769
0.787 0.329 0.329
0.975 0.366 0.669
0.975 0.669 0.366
```

---

Entry 2:
Structure and simulated PXRD pattern of YMg9Cd2 (a PBE-relaxed structure; a wavelength of 1.5418 Å).

Peak list (10 most intense, 2θ from 15° to 90°, low angle first)
Position (°2θ)	I (rel.)
20.07	100
27.48	42
29.05	83
29.55	42
33.03	54
33.14	33
35.79	38
39.05	44
40.80	71
52.14	34

Structure:
```
YMg9Cd2
1.0
-6.045 6.045 3.847
6.045 -6.045 3.847
6.045 6.045 -3.847
Y Mg Cd
2 18 4
Direct
0.375 0.625 0.750
0.625 0.375 0.250
0.125 0.875 0.250
0.126 0.555 0.329
0.126 0.797 0.572
0.203 0.274 0.329
0.203 0.874 0.928
0.274 0.203 0.829
0.274 0.445 0.072
0.445 0.274 0.572
0.445 0.874 0.171
0.555 0.126 0.829
0.555 0.726 0.428
0.726 0.555 0.928
0.726 0.797 0.171
0.797 0.126 0.072
0.797 0.726 0.671
0.874 0.203 0.428
0.874 0.445 0.671
0.875 0.125 0.750
0.000 0.000 0.000
0.000 0.000 0.500
0.000 0.500 0.000
0.500 0.000 0.500
```

---

Entry 3:
Structure and simulated PXRD pattern of Y3MgCd2 (a PBE-relaxed structure; a wavelength of 1.5418 Å).

Peak list (10 most intense, 2θ from 15° to 90°, low angle first)
Position (°2θ)	I (rel.)
17.62	9
33.55	25
33.66	100
33.80	25
48.35	26
60.07	25
60.26	9
60.38	18
70.77	10
80.69	14

Structure:
```
Y3MgCd2
1.0
2.652 -8.013 0.000
2.652 8.013 0.000
0.000 0.000 3.768
Y Mg Cd
3 1 2
Direct
0.000 0.000 0.000
0.331 0.669 0.000
0.669 0.331 0.000
0.500 0.500 0.500
0.160 0.840 0.500
0.840 0.160 0.500
```